# LuZnPd2
Computed powder diffraction line list, Cu Kα. Input: a cell relaxed with GGA-PBE.
No peak broadening, texture or thermal motion is included.

Largest 10 diffraction maxima, sorted by position, 2θ = 10–80°:
h k l, 2θ (°), I/Imax
1 0 0, 23.40, 25
1 0 1, 25.53, 8
1 0 2, 31.11, 18
1 0 3, 38.82, 100
1 1 0, 41.12, 81
2 0 3, 57.83, 32
1 0 6, 68.70, 15
2 1 3, 73.40, 31
3 0 0, 74.94, 13
1 1 6, 78.53, 11

Structure:
Unit cell a=4.3899 b=4.3899 c=8.7854 alpha=90.00 beta=90.00 gamma=120.00
Fractional coordinates of all 8 atoms:
1 Lu 0.3333 0.6667 0.2500
2 Lu 0.6667 0.3333 0.7500
3 Zn 0.0000 0.0000 0.0000
4 Zn 0.0000 0.0000 0.5000
5 Pd 0.3333 0.6667 0.5846
6 Pd 0.3333 0.6667 0.9154
7 Pd 0.6667 0.3333 0.0846
8 Pd 0.6667 0.3333 0.4154